[1]
Diffraction record for Cu3Ag7. The X-ray powder pattern is theoretical, not measured: it uses DFT lattice parameters and positions (GGA-PBE) and Cu Kα, 1.54184 Å.
No peak broadening, texture or thermal motion is included.

Atomic structure:
a b c (Å): 4.7274 2.8824 11.8904
angles (deg): 90.00 93.42 90.00
Sites, in units of the cell vectors:
Cu  0.0000  0.0000  0.0000
Cu  0.1583  0.5000  0.1687
Cu  0.8417  0.5000  0.8313
Ag  0.2236  0.0000  0.3594
Ag  0.2638  0.5000  0.5754
Ag  0.3210  0.0000  0.7954
Ag  0.5000  0.5000  0.0000
Ag  0.6790  0.0000  0.2046
Ag  0.7362  0.5000  0.4246
Ag  0.7764  0.0000  0.6406

Largest 12 diffraction maxima, by angle, 2θ from 5° to 70°:
2θ 34.60, d = 2.593 Å, I = 20; 2θ 36.73, d = 2.447 Å, I = 21; 2θ 37.90, d = 2.374 Å, I = 35; 2θ 38.14, d = 2.359 Å, I = 14; 2θ 38.45, d = 2.341 Å, I = 43; 2θ 39.21, d = 2.298 Å, I = 12; 2θ 40.12, d = 2.248 Å, I = 100; 2θ 41.55, d = 2.173 Å, I = 19; 2θ 42.67, d = 2.119 Å, I = 68; 2θ 50.87, d = 1.795 Å, I = 17; 2θ 63.67, d = 1.461 Å, I = 16; 2θ 64.68, d = 1.441 Å, I = 13


[2]
Diffraction record for Cu3Ag7. The X-ray powder pattern is theoretical, not measured: it uses DFT lattice parameters and positions (GGA-PBE) and Cu Kα, 1.54184 Å.
No peak broadening, texture or thermal motion is included.

Atomic structure:
a b c (Å): 2.8657 3.9215 14.3690
angles (deg): 90.00 90.00 90.00
Sites, in units of the cell vectors:
Cu  0.0000  0.0000  0.0000
Cu  0.0000  0.0000  0.1892
Cu  0.0000  0.0000  0.8108
Ag  0.0000  0.0000  0.3927
Ag  0.0000  0.0000  0.6073
Ag  0.5000  0.5000  0.0956
Ag  0.5000  0.5000  0.2872
Ag  0.5000  0.5000  0.5000
Ag  0.5000  0.5000  0.7128
Ag  0.5000  0.5000  0.9044

Largest 12 diffraction maxima, by angle, 2θ from 5° to 70°:
2θ 6.15, d = 14.369 Å, I = 2; 2θ 22.68, d = 3.921 Å, I = 2; 2θ 23.52, d = 3.783 Å, I = 1; 2θ 31.17, d = 2.870 Å, I = 2; 2θ 33.84, d = 2.649 Å, I = 3; 2θ 38.89, d = 2.316 Å, I = 100; 2θ 40.26, d = 2.240 Å, I = 2; 2θ 44.66, d = 2.029 Å, I = 32; 2θ 46.30, d = 1.961 Å, I = 15; 2θ 64.89, d = 1.437 Å, I = 4; 2θ 65.10, d = 1.433 Å, I = 5; 2θ 66.29, d = 1.410 Å, I = 18


[3]
Diffraction record for Cu4Ag5. The X-ray powder pattern is theoretical, not measured: it uses DFT lattice parameters and positions (GGA-PBE) and Cu Kα, 1.54184 Å.
No peak broadening, texture or thermal motion is included.

Atomic structure:
a b c (Å): 2.8224 2.8224 20.0920
angles (deg): 90.00 90.00 120.00
Sites, in units of the cell vectors:
Cu  0.0000  0.0000  0.1434
Cu  0.0000  0.0000  0.8566
Cu  0.3333  0.6667  0.0479
Cu  0.6667  0.3333  0.9521
Ag  0.0000  0.0000  0.5000
Ag  0.3333  0.6667  0.3764
Ag  0.3333  0.6667  0.7469
Ag  0.6667  0.3333  0.2531
Ag  0.6667  0.3333  0.6236

Largest 12 diffraction maxima, by angle, 2θ from 5° to 70°:
2θ 31.16, d = 2.870 Å, I = 3; 2θ 35.75, d = 2.511 Å, I = 20; 2θ 37.88, d = 2.375 Å, I = 11; 2θ 39.24, d = 2.296 Å, I = 100; 2θ 40.40, d = 2.232 Å, I = 11; 2θ 43.33, d = 2.088 Å, I = 21; 2θ 45.13, d = 2.009 Å, I = 4; 2θ 45.97, d = 1.974 Å, I = 44; 2θ 48.95, d = 1.861 Å, I = 6; 2θ 59.56, d = 1.552 Å, I = 4; 2θ 63.59, d = 1.463 Å, I = 12; 2θ 66.23, d = 1.411 Å, I = 22


[4]
Diffraction record for Cu4Ag5. The X-ray powder pattern is theoretical, not measured: it uses DFT lattice parameters and positions (GGA-PBE) and Cu Kα, 1.54184 Å.
No peak broadening, texture or thermal motion is included.

Atomic structure:
a b c (Å): 13.8301 13.8301 13.8301
angles (deg): 168.09 165.37 18.91
Sites, in units of the cell vectors:
Cu  0.1189  0.1189  0.0000
Cu  0.3367  0.3367  0.0000
Cu  0.6633  0.6633  0.0000
Cu  0.8811  0.8811  0.0000
Ag  0.0000  0.0000  0.0000
Ag  0.2180  0.2180  0.0000
Ag  0.4358  0.4358  0.0000
Ag  0.5642  0.5642  0.0000
Ag  0.7820  0.7820  0.0000

Largest 12 diffraction maxima, by angle, 2θ from 5° to 70°:
2θ 30.20, d = 2.959 Å, I = 17; 2θ 35.34, d = 2.540 Å, I = 11; 2θ 39.21, d = 2.298 Å, I = 98; 2θ 40.55, d = 2.225 Å, I = 100; 2θ 43.42, d = 2.084 Å, I = 72; 2θ 46.60, d = 1.949 Å, I = 8; 2θ 51.92, d = 1.761 Å, I = 23; 2θ 61.14, d = 1.516 Å, I = 8; 2θ 63.46, d = 1.466 Å, I = 12; 2θ 64.38, d = 1.447 Å, I = 4; 2θ 65.00, d = 1.435 Å, I = 11; 2θ 69.94, d = 1.345 Å, I = 32